1.
# Ce3Si2S8I
Theoretical PXRD pattern, Cu Ka. Input: a crystal structure in Alexandria, relaxed with PBE.

Peak list (10 most intense, 10 to 80 degrees two-theta, sorted by position)
2θ/deg  I (rel.)
16.37  100.0
20.98  53.3
22.58  54.1
24.02  63.8
26.01  60.0
29.37  40.3
32.26  75.3
33.76  58.3
38.84  37.9
39.66  53.2

Atomic structure:
```
Ce3Si2S8I
1.0
8.031 -3.943 0.000
8.031 3.943 0.000
-1.421 0.000 10.832
Ce Si S I
6 4 16 2
Direct
0.094 0.906 0.750
0.177 0.424 0.318
0.424 0.177 0.818
0.576 0.823 0.182
0.823 0.576 0.682
0.906 0.094 0.250
0.123 0.198 0.031
0.198 0.123 0.531
0.802 0.877 0.469
0.877 0.802 0.969
0.050 0.250 0.840
0.084 0.778 0.453
0.100 0.610 0.851
0.214 0.350 0.585
0.222 0.916 0.047
0.250 0.050 0.340
0.350 0.214 0.085
0.390 0.900 0.649
0.610 0.100 0.351
0.650 0.786 0.915
0.750 0.950 0.660
0.778 0.084 0.953
0.786 0.650 0.415
0.900 0.390 0.149
0.916 0.222 0.547
0.950 0.750 0.160
0.488 0.512 0.250
0.512 0.488 0.750
```


2.
# CeSeI
Theoretical PXRD pattern, Cu Ka. Input: a crystal structure in Alexandria, relaxed with PBE.

Peak list (10 most intense, 10 to 80 degrees two-theta, sorted by position)
2θ/deg  I (rel.)
17.77  100.0
26.75  97.4
26.90  69.9
30.93  55.6
37.16  32.3
37.31  31.5
40.21  26.9
41.40  86.4
48.61  22.3
51.58  27.6

Atomic structure:
```
CeSeI
1.0
4.485 0.000 0.000
0.000 5.781 0.000
-0.051 0.000 9.898
Ce Se I
2 2 2
Direct
0.249 0.250 0.373
0.751 0.750 0.627
0.249 0.750 0.430
0.751 0.250 0.570
0.254 0.750 0.853
0.746 0.250 0.147
```